Structure and computed powder X-ray diffraction pattern of MgNb2P2O10 (a structure optimized by DFT (PBE); Cu Kα X-rays).
Neutral-atom scattering factors, no anomalous dispersion.

Crystal structure
```
data_MgNb2P2O10
_chemical_formula_sum 'Mg1 Nb2 P2 O10'
_symmetry_space_group_name_H-M 'P -4 m 2'
_symmetry_Int_Tables_number 115
_symmetry_space_group_name_Hall 'P -4 -2'
_cell_length_a 6.589
_cell_length_b 6.589
_cell_length_c 5.300
_cell_angle_alpha 90.00
_cell_angle_beta 90.00
_cell_angle_gamma 90.00
loop_
_atom_site_label
_atom_site_fract_x
_atom_site_fract_y
_atom_site_fract_z
Mg1 0.000 0.000 0.000
Nb1 0.000 0.500 0.239
P1 0.000 0.000 0.500
P2 0.500 0.500 0.500
O1 0.000 0.178 0.310
O2 0.000 0.500 0.906
O3 0.306 0.500 0.335
```

Peak list (6 most intense, 10 to 90 degrees two-theta, by angle)
2θ (°)  d_spacing  Rel. int.  (hkl)
21.52  4.130  100  1 0 1
25.45  3.499  16  1 1 1
27.06  3.295  71  2 0 0
39.11  2.304  24  1 1 2
44.66  2.029  24  3 0 1
56.15  1.638  24  3 1 2

Structure and computed powder X-ray diffraction pattern of MnAl2Co (a structure optimized by DFT (PBE); Cu Kα X-rays).
Neutral-atom scattering factors, no anomalous dispersion.

Crystal structure
```
data_MnAl2Co
_chemical_formula_sum 'Mn1 Al2 Co1'
_symmetry_space_group_name_H-M 'P 4/m m m'
_symmetry_Int_Tables_number 123
_symmetry_space_group_name_Hall '-P 4 2'
_cell_length_a 2.854
_cell_length_b 2.854
_cell_length_c 6.046
_cell_angle_alpha 90.00
_cell_angle_beta 90.00
_cell_angle_gamma 90.00
loop_
_atom_site_label
_atom_site_fract_x
_atom_site_fract_y
_atom_site_fract_z
Mn1 0.000 0.000 0.000
Al1 0.500 0.500 0.266
Co1 0.000 0.000 0.500
```

Peak list (6 most intense, 10 to 90 degrees two-theta, by angle)
2θ (°)  d_spacing  Rel. int.  (hkl)
31.34  2.854  18  1 0 0
43.62  2.075  100  1 0 2
44.92  2.018  46  1 1 0
65.40  1.427  14  2 0 0
79.17  1.210  15  1 1 4
81.94  1.176  28  2 1 2

Structure and computed powder X-ray diffraction pattern of AgSbTe2 (a structure optimized by DFT (PBE); Cu Kα X-rays).
Neutral-atom scattering factors, no anomalous dispersion.

Crystal structure
```
data_AgSbTe2
_chemical_formula_sum 'Ag2 Sb2 Te4'
_symmetry_space_group_name_H-M 'P 4/m m m'
_symmetry_Int_Tables_number 123
_symmetry_space_group_name_Hall '-P 4 2'
_cell_length_a 6.141
_cell_length_b 6.141
_cell_length_c 6.068
_cell_angle_alpha 90.00
_cell_angle_beta 90.00
_cell_angle_gamma 90.00
loop_
_atom_site_label
_atom_site_fract_x
_atom_site_fract_y
_atom_site_fract_z
Ag1 0.000 0.500 0.000
Sb1 0.000 0.000 0.000
Sb2 0.000 0.000 0.500
Te1 0.000 0.500 0.500
Te2 0.500 0.500 0.000
Te3 0.500 0.500 0.500
```

Peak list (6 most intense, 10 to 90 degrees two-theta, by angle)
2θ (°)  d_spacing  Rel. int.  (hkl)
29.08  3.070  100  2 0 0
29.44  3.034  48  0 0 2
41.60  2.171  37  2 2 0
41.86  2.158  74  2 0 2
51.78  1.766  39  2 2 2
76.08  1.251  24  4 2 2